Diffraction record for Fe4O5F3. The powder XRD pattern is simulated, not measured: it uses a DFT-relaxed cell (GGA+U, Alexandria) and Cu Kα, 1.54184 Å.

The 10 most intense peaks (10 to 80 degrees two-theta), by angle:
| 2theta | Rel. int. | h k l |
| --- | --- | --- |
| 26.32 | 1000 | 1 0 -2 |
| 27.32 | 986 | 1 0 2 |
| 34.99 | 271 | 1 -2 1 |
| 35.15 | 534 | 0 2 1 |
| 35.28 | 250 | 1 2 -1 |
| 38.30 | 169 | 0 0 4 |
| 52.55 | 282 | 1 2 -5 |
| 53.65 | 275 | 1 2 3 |
| 60.92 | 178 | 0 4 -2 |
| 67.31 | 163 | 0 2 -7 |

Cell and atoms:
```
Fe4O5F3
1.0
4.7081 0.0000 0.0000
-0.0534 6.0830 0.0000
-0.3178 -3.0341 9.3918
Fe O F
8 10 6
Cartesian
0.0000 0.0000 0.0000 Fe
-0.1602 0.0428 4.6653 Fe
2.0552 1.5620 2.3156 Fe
2.1598 4.6205 2.4276 Fe
2.1735 1.5139 6.9170 Fe
2.3577 -1.4494 7.0571 Fe
4.4519 3.0927 0.2206 Fe
4.3806 3.0810 4.8197 Fe
0.7537 1.5583 0.9535 O
0.7642 4.5920 0.9752 O
0.6803 1.5453 5.5496 O
1.2645 0.0406 3.2514 O
2.9887 3.0822 1.5599 O
3.0256 3.0798 6.1653 O
3.1248 0.0327 6.0751 O
3.5861 4.6159 3.8198 O
3.4615 1.5368 8.5198 O
3.5109 -1.4846 8.5810 O
0.7661 -1.4893 5.6910 F
1.1558 3.1473 3.4150 F
1.1269 3.0803 7.9476 F
1.2108 0.0112 7.9043 F
3.1844 -0.0058 1.4269 F
3.5235 1.5781 3.7163 F
```